For Pm4Dy15Mg, a crystal structure in Alexandria, relaxed with PBE gives the calculated XRD peak list in this record (copper Kα).
Neutral-atom scattering factors, no anomalous dispersion.

The 8 most intense peaks (2θ from 10° to 90°), low angle first:
d_spacing, intensity, h k l
2.899, 100, 1 1 5
2.510, 51, 2 0 0
1.775, 36, 2 2 0
1.514, 14, 1 1 15
1.514, 28, 3 1 5
1.449, 12, 2 2 10
1.152, 11, 3 1 15
1.123, 11, 4 0 10

Cell and atoms:
Cell lengths 5.0196, 5.0196, 25.1184 Å; angles 90.00, 90.00, 90.00 degrees
Space group P4/mmm (No. 123)
Inequivalent atoms, fractional coordinates:
Pm (0.0000, 0.0000, 0.1009) x2
Pm (0.0000, 0.0000, 0.3024) x2
Dy (0.0000, 0.5000, 0.0000) x2
Dy (0.0000, 0.5000, 0.2018) x4
Dy (0.0000, 0.5000, 0.4028) x4
Dy (0.5000, 0.5000, 0.1012) x2
Dy (0.5000, 0.5000, 0.3042) x2
Dy (0.5000, 0.5000, 0.5000) x1
Mg (0.0000, 0.0000, 0.5000) x1